# 1
Structure and calculated powder X-ray diffraction pattern of MgCd4In (DFT lattice parameters and positions (GGA-PBE); copper Kα).
Lines closer than 0.1° are merged.

Most intense lines, 2θ from 10° to 90°, by angle:
- (1 1 0), 2θ 34.24, rel. 100
- (1 0 3), 2θ 34.90, rel. 31
- (0 1 3), 2θ 39.65, rel. 43
- (2 0 0), 2θ 40.50, rel. 21
- (0 2 0), 2θ 56.90, rel. 7
- (2 1 -3), 2θ 57.52, rel. 14
- (2 1 3), 2θ 58.42, rel. 13
- (1 2 -3), 2θ 68.10, rel. 8
- (1 2 3), 2θ 68.50, rel. 16
- (3 0 -3), 2θ 69.28, rel. 11
- (3 1 0), 2θ 69.67, rel. 8
- (2 2 0), 2θ 72.14, rel. 10

Structural model:
a = 4.4557 Å, b = 3.2367 Å, c = 9.5794 Å
α = 90.00°, β = 91.14°, γ = 90.00°
Space group P2/m (No. 10)
Asymmetric unit:
1 Mg 0.0000 0.0000 0.0000 [1 per cell]
2 Cd 0.0007 0.0000 0.3223 [2 per cell]
3 Cd 0.4986 0.5000 0.8401 [2 per cell]
4 In 0.5000 0.5000 0.5000 [1 per cell]



# 2
Structure and calculated powder X-ray diffraction pattern of Mg3H2Ir3 (DFT lattice parameters and positions (GGA-PBE); copper Kα).
Lines closer than 0.1° are merged.

Most intense lines, 2θ from 10° to 90°, by angle:
- (2 0 -1), 2θ 22.37, rel. 24
- (2 0 1), 2θ 23.07, rel. 100
- (1 1 0), 2θ 30.48, rel. 44
- (4 0 -1), 2θ 31.18, rel. 28
- (6 0 0), 2θ 38.26, rel. 70
- (3 1 -1), 2θ 40.19, rel. 80
- (3 1 1), 2θ 40.82, rel. 73
- (5 1 0), 2θ 44.05, rel. 29
- (1 1 -2), 2θ 49.52, rel. 26
- (5 1 2), 2θ 60.53, rel. 16
- (9 1 -1), 2θ 70.02, rel. 17
- (6 2 0), 2θ 75.14, rel. 20

Structural model:
a = 14.1273 Å, b = 2.9986 Å, c = 4.7052 Å
α = 90.00°, β = 91.89°, γ = 90.00°
Space group Cm (No. 8)
Asymmetric unit:
1 Mg 0.0000 0.0000 0.0000 [2 per cell]
2 Mg 0.1515 0.0000 0.5588 [2 per cell]
3 Mg 0.3208 0.0000 0.1424 [2 per cell]
4 H 0.0713 0.5000 0.2909 [2 per cell]
5 H 0.2381 0.5000 0.3518 [2 per cell]
6 Ir 0.1643 0.5000 0.0407 [2 per cell]
7 Ir 0.3253 0.5000 0.6626 [2 per cell]
8 Ir 0.4725 0.0000 0.5079 [2 per cell]



# 3
Structure and calculated powder X-ray diffraction pattern of HgI2O6 (DFT lattice parameters and positions (GGA-PBE); copper Kα).
Lines closer than 0.1° are merged.

Most intense lines, 2θ from 10° to 90°, by angle:
- (1 1 0), 2θ 24.02, rel. 77
- (2 0 -2), 2θ 24.34, rel. 100
- (2 0 1), 2θ 26.27, rel. 71
- (1 1 1), 2θ 28.58, rel. 77
- (1 1 -2), 2θ 31.52, rel. 26
- (3 1 -1), 2θ 34.68, rel. 52
- (4 0 -1), 2θ 35.60, rel. 22
- (0 0 3), 2θ 36.61, rel. 36
- (1 1 -3), 2θ 40.87, rel. 26
- (0 2 0), 2θ 44.91, rel. 26
- (2 2 -2), 2θ 51.73, rel. 25
- (5 1 0), 2θ 54.12, rel. 25

Structural model:
a = 10.1159 Å, b = 4.0371 Å, c = 7.9829 Å
α = 90.00°, β = 112.72°, γ = 90.00°
Space group C2/m (No. 12)
Asymmetric unit:
1 Hg 0.0000 0.0000 0.0000 [2 per cell]
2 I 0.1957 0.0000 0.6810 [4 per cell]
3 O 0.0310 0.0000 0.7274 [4 per cell]
4 O 0.1583 0.5000 0.0907 [4 per cell]
5 O 0.2067 0.5000 0.6577 [4 per cell]



# 4
Structure and calculated powder X-ray diffraction pattern of LaSmY2Ho2 (DFT lattice parameters and positions (GGA-PBE); copper Kα).
Lines closer than 0.1° are merged.

Most intense lines, 2θ from 10° to 90°, by angle:
- (1 2 0), 2θ 16.69, rel. 48
- (0 1 1), 2θ 26.61, rel. 32
- (2 2 0), 2θ 28.90, rel. 100
- (0 6 0), 2θ 29.72, rel. 84
- (0 3 1), 2θ 30.13, rel. 88
- (1 2 1), 2θ 31.17, rel. 54
- (1 6 0), 2θ 32.75, rel. 34
- (2 4 0), 2θ 33.74, rel. 79
- (1 4 1), 2θ 35.73, rel. 56
- (2 3 1), 2θ 40.98, rel. 57
- (1 8 0), 2θ 42.38, rel. 36
- (1 9 1), 2θ 54.95, rel. 30

Structural model:
a = 6.5756 Å, b = 18.0378 Å, c = 3.4097 Å
α = 90.00°, β = 90.00°, γ = 90.00°
Space group Pnnm (No. 58)
Asymmetric unit:
1 La 0.0000 0.0000 0.0000 [2 per cell]
2 Sm 0.0000 0.5000 0.0000 [2 per cell]
3 Y 0.2186 0.1881 0.0000 [4 per cell]
4 Ho 0.2167 0.3522 0.5000 [4 per cell]